# MnPdI4
Simulated PXRD pattern, a wavelength of 1.5418 Å. Input: a cell relaxed with PBE.

Main lines, by angle (2θ = 10–90°):
(0 0 1), 12.2°, d 7.242, I 50
(0 0 2), 24.6°, d 3.621, I 14
(1 1 -1), 27.7°, d 3.225, I 23
(1 1 1), 28.0°, d 3.192, I 100
(2 0 -2), 35.2°, d 2.553, I 21
(1 1 2), 35.5°, d 2.529, I 32
(0 2 0), 43.5°, d 2.079, I 15
(3 1 0), 44.4°, d 2.040, I 26
(1 1 -3), 45.0°, d 2.013, I 26
(2 0 3), 46.2°, d 1.966, I 12
(2 2 -1), 52.5°, d 1.742, I 9
(2 2 -2), 57.1°, d 1.612, I 10

Structural model:
```
data_MnPdI4
_chemical_formula_sum 'Mn1 Pd1 I4'
_space_group_name_H-M_alt 'P 1 2/m 1'
_space_group_IT_number 10
_space_group_name_Hall '-P 2y'
_cell_length_a 7.025
_cell_length_b 4.159
_cell_length_c 7.245
_cell_angle_alpha 90.00
_cell_angle_beta 91.44
_cell_angle_gamma 90.00
loop_
_atom_site_label
_atom_site_fract_x
_atom_site_fract_y
_atom_site_fract_z
Mn1 0.000 0.000 0.000
Pd1 0.500 0.500 0.000
I1 0.182 0.500 0.225
I2 0.324 0.000 0.781
```


# Rb2PrGeTe4
Simulated PXRD pattern, a wavelength of 1.5418 Å. Input: a cell relaxed with PBE.

Main lines, by angle (2θ = 10–90°):
(0 1 1), 11.3°, d 7.832, I 9
(1 0 1), 11.4°, d 7.761, I 6
(0 0 4), 26.4°, d 3.376, I 100
(3 0 3), 34.6°, d 2.589, I 8
(0 4 0), 37.4°, d 2.403, I 13
(2 2 4), 37.7°, d 2.388, I 46
(4 0 0), 38.0°, d 2.370, I 10
(0 4 4), 46.4°, d 1.958, I 13
(4 0 4), 46.8°, d 1.940, I 10
(0 0 8), 54.4°, d 1.688, I 9
(2 2 8), 61.4°, d 1.510, I 15
(2 6 4), 67.7°, d 1.384, I 6

Structural model:
```
data_Rb2PrGeTe4
_chemical_formula_sum 'Rb8 Pr4 Ge4 Te16'
_space_group_name_H-M_alt 'I m m a'
_space_group_IT_number 74
_space_group_name_Hall '-I 2b 2'
_cell_length_a 9.480
_cell_length_b 9.610
_cell_length_c 13.515
_cell_angle_alpha 90.00
_cell_angle_beta 90.00
_cell_angle_gamma 90.00
loop_
_atom_site_label
_atom_site_fract_x
_atom_site_fract_y
_atom_site_fract_z
Rb1 0.000 0.000 0.000
Rb2 0.250 0.250 0.250
Pr1 0.250 0.250 0.750
Ge1 0.000 0.000 0.500
Te1 0.000 0.026 0.728
Te2 0.203 0.250 0.514
```


# Pa2GaPt
Simulated PXRD pattern, a wavelength of 1.5418 Å. Input: a cell relaxed with PBE.

Main lines, by angle (2θ = 10–90°):
(1 0 1), 20.2°, d 4.394, I 12
(0 2 0), 20.6°, d 4.320, I 12
(0 2 2), 35.5°, d 2.530, I 99
(2 2 0), 35.7°, d 2.515, I 100
(2 0 2), 41.1°, d 2.197, I 68
(0 4 0), 41.8°, d 2.160, I 30
(0 0 4), 59.2°, d 1.561, I 11
(4 0 0), 59.8°, d 1.546, I 12
(2 4 2), 60.1°, d 1.540, I 41
(2 2 4), 71.1°, d 1.326, I 25
(4 2 2), 71.5°, d 1.319, I 27
(4 4 0), 75.6°, d 1.257, I 11

Structural model:
```
data_Pa2GaPt
_chemical_formula_sum 'Pa8 Ga4 Pt4'
_space_group_name_H-M_alt 'I m m a'
_space_group_IT_number 74
_space_group_name_Hall '-I 2b 2'
_cell_length_a 6.185
_cell_length_b 8.641
_cell_length_c 6.244
_cell_angle_alpha 90.00
_cell_angle_beta 90.00
_cell_angle_gamma 90.00
loop_
_atom_site_label
_atom_site_fract_x
_atom_site_fract_y
_atom_site_fract_z
Pa1 0.250 0.016 0.250
Ga1 0.000 0.250 0.538
Pt1 0.000 0.250 0.987
```


# MgScBePd
Simulated PXRD pattern, a wavelength of 1.5418 Å. Input: a cell relaxed with PBE.

Main lines, by angle (2θ = 10–90°):
(1 1 1), 24.1°, d 3.692, I 80
(2 0 0), 27.9°, d 3.198, I 7
(2 2 0), 39.9°, d 2.261, I 100
(3 1 1), 47.1°, d 1.928, I 39
(2 2 2), 49.4°, d 1.846, I 2
(4 0 0), 57.7°, d 1.599, I 16
(3 3 1), 63.4°, d 1.467, I 16
(4 2 0), 65.2°, d 1.430, I 3
(4 2 2), 72.4°, d 1.305, I 32
(5 1 1), 77.6°, d 1.231, I 12
(4 4 0), 86.0°, d 1.131, I 10

Structural model:
```
data_MgScBePd
_chemical_formula_sum 'Mg4 Sc4 Be4 Pd4'
_space_group_name_H-M_alt 'F -4 3 m'
_space_group_IT_number 216
_space_group_name_Hall 'F -4 2 3'
_cell_length_a 6.395
_cell_length_b 6.395
_cell_length_c 6.395
_cell_angle_alpha 90.00
_cell_angle_beta 90.00
_cell_angle_gamma 90.00
loop_
_atom_site_label
_atom_site_fract_x
_atom_site_fract_y
_atom_site_fract_z
Mg1 0.000 0.000 0.000
Sc1 0.000 0.000 0.500
Be1 0.250 0.250 0.750
Pd1 0.250 0.250 0.250
```


Q: Which formula does entry 2 have?
A: Rb2PrGeTe4